# MgCrH10O9
Computed powder diffractogram, Cu Ka. Input: a cell relaxed with GGA+U.
No peak broadening, texture or thermal motion is included.

Crystal structure
Cell lengths 6.220, 6.370, 10.951 Å; angles 75.25, 81.40, 70.74 degrees
Fractional coordinates of all 42 atoms:
Mg1 0.000 0.000 0.000
Mg2 0.000 0.500 0.500
Cr1 0.355 0.017 0.711
Cr2 0.645 0.983 0.289
H1 0.099 0.669 0.211
H2 0.104 0.806 0.593
H3 0.165 0.138 0.375
H4 0.241 0.285 0.006
H5 0.257 0.106 0.141
H6 0.292 0.438 0.802
H7 0.311 0.614 0.875
H8 0.335 0.652 0.130
H9 0.340 0.689 0.370
H10 0.437 0.414 0.394
H11 0.563 0.586 0.606
H12 0.660 0.311 0.630
H13 0.665 0.348 0.870
H14 0.689 0.386 0.125
H15 0.708 0.562 0.198
H16 0.743 0.894 0.859
H17 0.759 0.715 0.994
H18 0.835 0.862 0.625
H19 0.896 0.194 0.407
H20 0.901 0.331 0.789
O1 0.031 0.237 0.417
O2 0.167 0.701 0.124
O3 0.169 0.176 0.065
O4 0.177 0.276 0.662
O5 0.270 0.909 0.860
O6 0.300 0.546 0.403
O7 0.355 0.843 0.622
O8 0.361 0.448 0.875
O9 0.381 0.966 0.292
O10 0.619 0.034 0.708
O11 0.639 0.552 0.125
O12 0.645 0.157 0.378
O13 0.700 0.454 0.597
O14 0.730 0.091 0.140
O15 0.823 0.724 0.338
O16 0.831 0.824 0.935
O17 0.833 0.299 0.876
O18 0.969 0.763 0.583

The 8 most intense peaks (2θ from 5° to 70°), low angle first:
15.10 deg, rel. 75; 16.78 deg, rel. 56; 17.74 deg, rel. 100; 23.48 deg, rel. 64; 26.70 deg, rel. 43; 28.57 deg, rel. 62; 29.99 deg, rel. 35; 32.41 deg, rel. 42